Computed powder XRD pattern of Li4Ti3Cr3Te2O16 for Cu Kα (λ = 1.5418 Å), from a structure optimized by DFT (GGA+U).
Intensities are scaled so that the largest is 100.

Atomic structure:
a = 6.102 Å, b = 6.102 Å, c = 10.166 Å
α = 90.19°, β = 90.19°, γ = 58.72°
Atoms (fractional coordinates):
Li 0.000 0.000 0.000
Li 0.013 0.013 0.498
Li 0.345 0.345 0.090
Li 0.675 0.675 0.585
Ti 0.161 0.665 0.766
Ti 0.665 0.161 0.766
Ti 0.836 0.836 0.264
Cr 0.175 0.175 0.778
Cr 0.349 0.848 0.278
Cr 0.848 0.349 0.278
Te 0.351 0.351 0.489
Te 0.653 0.653 0.995
O 0.007 0.007 0.186
O 0.009 0.009 0.681
O 0.030 0.524 0.655
O 0.166 0.166 0.389
O 0.182 0.692 0.390
O 0.326 0.819 0.902
O 0.346 0.346 0.874
O 0.492 0.492 0.653
O 0.524 0.030 0.655
O 0.528 0.992 0.170
O 0.531 0.531 0.151
O 0.685 0.685 0.379
O 0.692 0.182 0.390
O 0.819 0.326 0.902
O 0.857 0.857 0.875
O 0.992 0.528 0.170

Main lines, in order of rising 2θ (2θ = 15–90°):
- 18.8 deg, rel. 73
- 19.1 deg, rel. 100
- 24.4 deg, rel. 51
- 31.5 deg, rel. 46
- 34.2 deg, rel. 31
- 34.3 deg, rel. 37
- 34.8 deg, rel. 35
- 35.5 deg, rel. 39
- 43.8 deg, rel. 31
- 60.7 deg, rel. 24